Computed powder diffractogram of TcC for Cu Ka, from a crystal structure in the Materials Project, relaxed with GGA-PBE.
Lines closer than 0.1° are merged.

Structure:
```
data_TcC
_cell_length_a 4.6333
_cell_length_b 4.6333
_cell_length_c 4.6333
_cell_angle_alpha 90.00
_cell_angle_beta 90.00
_cell_angle_gamma 90.00
_symmetry_space_group_name_H-M 'F -4 3 m'
_symmetry_Int_Tables_number 216
_symmetry_space_group_name_Hall 'F -4 2 3'
loop_
_atom_site_label
_atom_site_type_symbol
_atom_site_fract_x
_atom_site_fract_y
_atom_site_fract_z
_atom_site_occupancy
Tc1 Tc 0.0000 0.0000 0.0000 1
C1 C 0.2500 0.2500 0.7500 1
```

Top 6 peaks for 15° ≤ 2θ ≤ 90°, in order of falling intensity:
- 2θ 33.50, d 2.675, I = 100
- 2θ 38.87, d 2.317, I = 40
- 2θ 56.15, d 1.638, I = 38
- 2θ 66.99, d 1.397, I = 38
- 2θ 70.39, d 1.338, I = 9
- 2θ 83.45, d 1.158, I = 6